Entry 1:
Diffraction record for LiHf2SeS3. The X-ray powder pattern is theoretical, not measured: it uses the PBE geometry in Alexandria and a wavelength of 1.5418 Å.

Crystal structure
```
data_LiHf2SeS3
_cell_length_a 7.5651
_cell_length_b 7.5651
_cell_length_c 18.2445
_cell_angle_alpha 90.00
_cell_angle_beta 90.00
_cell_angle_gamma 120.00
_symmetry_space_group_name_H-M 'R -3 m'
_symmetry_Int_Tables_number 166
_symmetry_space_group_name_Hall '-R 3 2"'
loop_
_atom_site_label
_atom_site_type_symbol
_atom_site_fract_x
_atom_site_fract_y
_atom_site_fract_z
Li1 Li 0.0000 0.0000 0.1097
Hf1 Hf 0.0000 0.0000 0.5000
Hf2 Hf 0.0000 0.5000 0.0000
Se1 Se 0.0000 0.0000 0.2473
S1 S 0.0223 0.5111 0.2530
```

Main lines, sorted by position (2θ = 10–90°):
two_theta, Rel. int.
14.36, 905
14.57, 278
27.77, 407
33.69, 1000
48.11, 370
48.65, 358

***

Entry 2:
Diffraction record for LiPu2Sn8. The X-ray powder pattern is theoretical, not measured: it uses the PBE geometry in Alexandria and a wavelength of 1.5418 Å.

Crystal structure
```
data_LiPu2Sn8
_cell_length_a 4.7130
_cell_length_b 4.7127
_cell_length_c 12.3975
_cell_angle_alpha 90.00
_cell_angle_beta 90.04
_cell_angle_gamma 90.00
_symmetry_space_group_name_H-M 'P 1 2/m 1'
_symmetry_Int_Tables_number 10
loop_
_symmetry_equiv_pos_as_xyz
'x,y,z'
'-x,-y,-z'
'-x,y,-z'
'x,-y,z'
loop_
_atom_site_label
_atom_site_type_symbol
_atom_site_fract_x
_atom_site_fract_y
_atom_site_fract_z
Li1 Li 0.0000 0.0000 0.0000
Pu1 Pu 0.9995 0.0000 0.3088
Sn1 Sn 0.0000 0.5000 0.5000
Sn2 Sn 0.0017 0.5000 0.8739
Sn3 Sn 0.4993 0.5000 0.3156
Sn4 Sn 0.4995 0.0000 0.1261
Sn5 Sn 0.5000 0.0000 0.5000
```

Main lines, sorted by position (2θ = 10–90°):
two_theta, Rel. int.
30.45, 489
34.58, 1000
36.23, 215
38.19, 513
53.66, 287
66.72, 313